Theoretical powder XRD pattern of Na2Ga3Ag17 for Cu Kα, 1.54184 Å, from a cell relaxed with PBE.
No peak broadening, texture or thermal motion is included.

Most intense lines, 2θ = 10–90°, low angle first:
11.53 deg, rel. 60; 17.17 deg, rel. 53; 34.74 deg, rel. 100; 36.09 deg, rel. 54; 39.30 deg, rel. 96; 40.24 deg, rel. 76; 40.79 deg, rel. 39; 50.98 deg, rel. 37

Structure:
```
Na2Ga3Ag17
1.0
5.1652 2.9821 4.9775
-5.1652 2.9821 4.9775
0.0000 -5.9643 4.9775
Na Ga Ag
2 3 17
direct
0.1213 0.1213 0.1213 Na
0.8787 0.8787 0.8787 Na
0.0000 0.0000 0.5000 Ga
0.0000 0.5000 0.0000 Ga
0.5000 0.0000 0.0000 Ga
0.0000 0.5000 0.5000 Ag
0.1704 0.1704 0.6736 Ag
0.1704 0.6736 0.1704 Ag
0.2393 0.5000 0.7607 Ag
0.2393 0.7607 0.5000 Ag
0.3264 0.8296 0.8296 Ag
0.4002 0.4002 0.4002 Ag
0.5000 0.0000 0.5000 Ag
0.5000 0.2393 0.7607 Ag
0.5000 0.5000 0.0000 Ag
0.5000 0.7607 0.2393 Ag
0.5998 0.5998 0.5998 Ag
0.6736 0.1704 0.1704 Ag
0.7607 0.2393 0.5000 Ag
0.7607 0.5000 0.2393 Ag
0.8296 0.3264 0.8296 Ag
0.8296 0.8296 0.3264 Ag
```

=====

Theoretical powder XRD pattern of NaGa4Ag4 for Cu Kα, 1.54184 Å, from a cell relaxed with PBE.
No peak broadening, texture or thermal motion is included.

Most intense lines, 2θ = 10–90°, low angle first:
13.84 deg, rel. 100; 31.26 deg, rel. 31; 36.64 deg, rel. 34; 39.34 deg, rel. 15; 40.37 deg, rel. 82; 45.27 deg, rel. 33; 48.91 deg, rel. 17; 68.49 deg, rel. 16

Structure:
```
NaGa4Ag4
1.0
-4.5235 4.5235 2.4529
4.5235 -4.5235 2.4529
4.5235 4.5235 -2.4529
Na Ga Ag
1 4 4
direct
0.0000 0.0000 0.0000 Na
0.2095 0.3298 0.5394 Ga
0.3298 0.7905 0.1203 Ga
0.6702 0.2095 0.8797 Ga
0.7905 0.6702 0.4606 Ga
0.1004 0.6158 0.7162 Ag
0.3842 0.1004 0.4846 Ag
0.6158 0.8996 0.5154 Ag
0.8996 0.3842 0.2838 Ag
```

=====

Theoretical powder XRD pattern of NaGa6Ag6 for Cu Kα, 1.54184 Å, from a cell relaxed with PBE.
No peak broadening, texture or thermal motion is included.

Most intense lines, 2θ = 10–90°, low angle first:
18.44 deg, rel. 28; 19.35 deg, rel. 26; 37.38 deg, rel. 70; 37.84 deg, rel. 47; 38.46 deg, rel. 37; 42.14 deg, rel. 20; 42.41 deg, rel. 100; 43.73 deg, rel. 33

Structure:
```
NaGa6Ag6
1.0
-2.7832 4.5867 4.8047
2.7832 -4.5867 4.8047
2.7832 4.5867 -4.8047
Na Ga Ag
1 6 6
direct
0.0000 0.0000 0.0000 Na
0.2216 0.7216 0.5000 Ga
0.3543 0.0000 0.3543 Ga
0.3632 0.3632 0.0000 Ga
0.6368 0.6368 0.0000 Ga
0.6457 0.0000 0.6457 Ga
0.7784 0.2784 0.5000 Ga
0.0000 0.0000 0.5000 Ag
0.0000 0.5000 0.0000 Ag
0.1893 0.5000 0.6893 Ag
0.5000 0.0000 0.0000 Ag
0.5000 0.5000 0.5000 Ag
0.8107 0.5000 0.3107 Ag
```

=====

Theoretical powder XRD pattern of Na2GaAg for Cu Kα, 1.54184 Å, from a cell relaxed with PBE.
No peak broadening, texture or thermal motion is included.

Most intense lines, 2θ = 10–90°, low angle first:
16.26 deg, rel. 89; 19.10 deg, rel. 61; 21.45 deg, rel. 26; 33.74 deg, rel. 36; 34.51 deg, rel. 43; 35.81 deg, rel. 41; 37.41 deg, rel. 100; 37.70 deg, rel. 41

Structure:
```
Na2GaAg
1.0
5.4847 -2.3862 0.0000
5.4847 2.3862 0.0000
-4.6467 0.0000 7.4142
Na Ga Ag
4 2 2
direct
0.0000 0.0000 0.0000 Na
0.0009 0.0009 0.4960 Na
0.3712 0.3712 0.1646 Na
0.6262 0.6262 0.8287 Na
0.2509 0.2509 0.4162 Ga
0.7544 0.7544 0.5838 Ga
0.3211 0.3211 0.7689 Ag
0.6789 0.6789 0.2294 Ag
```

=====

Theoretical powder XRD pattern of Na3Ga4Ag2 for Cu Kα, 1.54184 Å, from a cell relaxed with PBE.
No peak broadening, texture or thermal motion is included.

Most intense lines, 2θ = 10–90°, low angle first:
17.19 deg, rel. 100; 25.28 deg, rel. 32; 35.89 deg, rel. 19; 36.79 deg, rel. 27; 37.07 deg, rel. 27; 38.36 deg, rel. 47; 39.49 deg, rel. 27; 39.86 deg, rel. 30

Structure:
```
Na3Ga4Ag2
1.0
4.6933 0.0000 0.0000
2.3361 5.3589 0.0000
0.0797 2.1136 7.5001
Na Ga Ag
3 4 2
direct
0.0000 0.0000 0.0000 Na
0.4613 0.0745 0.6939 Na
0.5387 0.9255 0.3061 Na
0.1327 0.7300 0.5645 Ga
0.2722 0.4528 0.9247 Ga
0.7278 0.5472 0.0753 Ga
0.8673 0.2700 0.4355 Ga
0.2555 0.4962 0.2875 Ag
0.7445 0.5038 0.7125 Ag
```

=====

Theoretical powder XRD pattern of NaGa2Ag for Cu Kα, 1.54184 Å, from a cell relaxed with PBE.
No peak broadening, texture or thermal motion is included.

Most intense lines, 2θ = 10–90°, low angle first:
17.37 deg, rel. 100; 25.55 deg, rel. 27; 32.72 deg, rel. 23; 37.27 deg, rel. 54; 39.88 deg, rel. 81; 43.80 deg, rel. 55; 55.73 deg, rel. 16; 70.70 deg, rel. 15

Structure:
```
NaGa2Ag
1.0
2.2603 1.3050 5.1049
-2.2603 1.3050 5.1049
0.0000 -2.6100 5.1049
Na Ga Ag
1 2 1
direct
0.0000 0.0000 0.0000 Na
0.5398 0.5398 0.5398 Ga
0.7947 0.7947 0.7947 Ga
0.1936 0.1936 0.1936 Ag
```